# EuAl3Pb2O8
Theoretical X-ray diffraction stick pattern, Cu Kα (λ = 1.5418 Å). Input: the GGA-PBE geometry in Alexandria.
Peak positions follow from Bragg's law for the DFT cell and can differ from measured ones.

Atomic structure:
```
data_EuAl3Pb2O8
_chemical_formula_sum 'Eu4 Al12 Pb8 O32'
_symmetry_space_group_name_H-M 'P n -3 m'
_symmetry_Int_Tables_number 224
_cell_length_a 9.602
_cell_length_b 9.602
_cell_length_c 9.602
_cell_angle_alpha 90.00
_cell_angle_beta 90.00
_cell_angle_gamma 90.00
loop_
_symmetry_equiv_pos_as_xyz
'x,y,z'
'-x,-y,-z'
'-y,x+1/2,z+1/2'
'y,-x+1/2,-z+1/2'
'-x+1/2,-y+1/2,z'
'x+1/2,y+1/2,-z'
'y+1/2,-x,z+1/2'
'-y+1/2,x,-z+1/2'
'x,-y+1/2,-z+1/2'
'-x,y+1/2,z+1/2'
'-y,-x,-z'
'y,x,z'
'-x+1/2,y,-z+1/2'
'x+1/2,-y,z+1/2'
'y+1/2,x+1/2,-z'
'-y+1/2,-x+1/2,z'
'z,x,y'
'-z,-x,-y'
'z+1/2,-y,x+1/2'
'-z+1/2,y,-x+1/2'
'z,-x+1/2,-y+1/2'
'-z,x+1/2,y+1/2'
'z+1/2,y+1/2,-x'
'-z+1/2,-y+1/2,x'
'-z+1/2,x,-y+1/2'
'z+1/2,-x,y+1/2'
'-z,-y,-x'
'z,y,x'
'-z+1/2,-x+1/2,y'
'z+1/2,x+1/2,-y'
'-z,y+1/2,x+1/2'
'z,-y+1/2,-x+1/2'
'y,z,x'
'-y,-z,-x'
'x+1/2,z+1/2,-y'
'-x+1/2,-z+1/2,y'
'-y+1/2,z,-x+1/2'
'y+1/2,-z,x+1/2'
'-x,z+1/2,y+1/2'
'x,-z+1/2,-y+1/2'
'-y+1/2,-z+1/2,x'
'y+1/2,z+1/2,-x'
'-x,-z,-y'
'x,z,y'
'y,-z+1/2,-x+1/2'
'-y,z+1/2,x+1/2'
'x+1/2,-z,y+1/2'
'-x+1/2,z,-y+1/2'
loop_
_atom_site_label
_atom_site_type_symbol
_atom_site_fract_x
_atom_site_fract_y
_atom_site_fract_z
Eu1 Eu 0.000 0.000 0.000
Al1 Al 0.000 0.250 0.750
Pb1 Pb 0.116 0.116 0.384
O1 O 0.093 0.093 0.762
O2 O 0.140 0.140 0.140
```

Main lines, in order of falling intensity (2θ = 10–90°):
(hkl)  two_theta  I_rel
2 2 1  27.87  1000
3 1 0  29.41  767
1 1 0  13.04  704
3 1 1  30.89  671
3 3 0  39.83  463
4 4 0  54.02  388



# KZr6MnCl14
Theoretical X-ray diffraction stick pattern, Cu Kα (λ = 1.5418 Å). Input: the GGA-PBE geometry in Alexandria.
Peak positions follow from Bragg's law for the DFT cell and can differ from measured ones.

Atomic structure:
```
data_KZr6MnCl14
_chemical_formula_sum 'K4 Zr24 Mn4 Cl56'
_symmetry_space_group_name_H-M 'C m c e'
_symmetry_Int_Tables_number 64
_symmetry_space_group_name_Hall '-C 2ac 2'
_cell_length_a 14.780
_cell_length_b 13.379
_cell_length_c 11.872
_cell_angle_alpha 90.00
_cell_angle_beta 90.00
_cell_angle_gamma 90.00
loop_
_atom_site_label
_atom_site_type_symbol
_atom_site_fract_x
_atom_site_fract_y
_atom_site_fract_z
K1 K 0.000 0.000 0.000
Zr1 Zr 0.000 0.148 0.386
Zr2 Zr 0.119 0.073 0.619
Mn1 Mn 0.000 0.000 0.500
Cl1 Cl 0.000 0.156 0.761
Cl2 Cl 0.120 0.081 0.247
Cl3 Cl 0.121 0.238 0.506
Cl4 Cl 0.249 0.000 0.500
Cl5 Cl 0.250 0.150 0.750
```

Main lines, in order of falling intensity (2θ = 10–90°):
(hkl)  two_theta  I_rel
1 1 1  11.63  1000
4 2 3  35.86  322
4 2 2  31.50  193
2 0 0  11.98  189
4 6 0  47.63  179
3 1 2  24.40  159



# InHg2H2
Theoretical X-ray diffraction stick pattern, Cu Kα (λ = 1.5418 Å). Input: the GGA-PBE geometry in Alexandria.
Peak positions follow from Bragg's law for the DFT cell and can differ from measured ones.

Atomic structure:
```
data_InHg2H2
_chemical_formula_sum 'In2 Hg4 H4'
_symmetry_space_group_name_H-M 'P -1'
_symmetry_Int_Tables_number 2
_symmetry_space_group_name_Hall '-P 1'
_cell_length_a 5.232
_cell_length_b 5.702
_cell_length_c 7.205
_cell_angle_alpha 84.92
_cell_angle_beta 88.09
_cell_angle_gamma 84.92
loop_
_atom_site_label
_atom_site_type_symbol
_atom_site_fract_x
_atom_site_fract_y
_atom_site_fract_z
In1 In 0.108 0.372 0.177
Hg1 Hg 0.231 0.657 0.482
Hg2 Hg 0.316 0.095 0.706
H1 H 0.186 0.629 0.986
H2 H 0.322 0.131 0.112
```

Main lines, in order of falling intensity (2θ = 10–90°):
(hkl)  two_theta  I_rel
0 0 1  12.34  1000
1 -1 1  27.67  902
0 1 2  28.29  526
1 1 -2  34.89  490
2 0 -1  37.02  469
1 1 -1  26.33  318



# CoNi6Mo
Theoretical X-ray diffraction stick pattern, Cu Kα (λ = 1.5418 Å). Input: the GGA-PBE geometry in Alexandria.
Peak positions follow from Bragg's law for the DFT cell and can differ from measured ones.

Atomic structure:
```
data_CoNi6Mo
_chemical_formula_sum 'Co2 Ni12 Mo2'
_symmetry_space_group_name_H-M 'A m m 2'
_symmetry_Int_Tables_number 38
_symmetry_space_group_name_Hall 'A 2 -2'
_cell_length_a 3.541
_cell_length_b 7.212
_cell_length_c 7.142
_cell_angle_alpha 90.00
_cell_angle_beta 90.00
_cell_angle_gamma 90.00
loop_
_atom_site_label
_atom_site_type_symbol
_atom_site_fract_x
_atom_site_fract_y
_atom_site_fract_z
Co1 Co 0.000 0.000 0.000
Ni1 Ni 0.000 0.000 0.497
Ni2 Ni 0.000 0.247 0.249
Ni3 Ni 0.500 0.000 0.247
Ni4 Ni 0.500 0.250 0.000
Mo1 Mo 0.500 0.000 0.752
```

Main lines, in order of falling intensity (2θ = 10–90°):
(hkl)  two_theta  I_rel
1 2 2  43.90  1000
0 4 0  50.62  160
0 0 4  51.16  155
2 0 0  51.63  151
0 4 4  74.84  92
2 4 0  75.22  91



# Tb4DyEr3
Theoretical X-ray diffraction stick pattern, Cu Kα (λ = 1.5418 Å). Input: the GGA-PBE geometry in Alexandria.
Peak positions follow from Bragg's law for the DFT cell and can differ from measured ones.

Atomic structure:
```
data_Tb4DyEr3
_chemical_formula_sum 'Tb8 Dy2 Er6'
_symmetry_space_group_name_H-M 'P m n 21'
_symmetry_Int_Tables_number 31
_symmetry_space_group_name_Hall 'P 2ac -2'
_cell_length_a 11.194
_cell_length_b 7.228
_cell_length_c 6.251
_cell_angle_alpha 90.00
_cell_angle_beta 90.00
_cell_angle_gamma 90.00
loop_
_atom_site_label
_atom_site_type_symbol
_atom_site_fract_x
_atom_site_fract_y
_atom_site_fract_z
Tb1 Tb 0.000 0.126 0.000
Tb2 Tb 0.000 0.873 0.502
Tb3 Tb 0.249 0.126 0.334
Dy1 Dy 0.000 0.624 0.002
Er1 Er 0.000 0.376 0.501
Er2 Er 0.250 0.376 0.834
```

Main lines, in order of falling intensity (2θ = 10–90°):
(hkl)  two_theta  I_rel
2 0 2  32.80  1000
0 2 1  28.54  239
4 0 0  31.98  238
4 4 0  61.07  225
6 0 2  57.52  203
0 4 0  50.55  199



# Tb3DySb2
Theoretical X-ray diffraction stick pattern, Cu Kα (λ = 1.5418 Å). Input: the GGA-PBE geometry in Alexandria.
Peak positions follow from Bragg's law for the DFT cell and can differ from measured ones.

Atomic structure:
```
data_Tb3DySb2
_chemical_formula_sum 'Tb12 Dy4 Sb8'
_symmetry_space_group_name_H-M 'I b a m'
_symmetry_Int_Tables_number 72
_symmetry_space_group_name_Hall '-I 2 2c'
_cell_length_a 7.002
_cell_length_b 14.446
_cell_length_c 7.625
_cell_angle_alpha 90.00
_cell_angle_beta 90.00
_cell_angle_gamma 90.00
loop_
_atom_site_label
_atom_site_type_symbol
_atom_site_fract_x
_atom_site_fract_y
_atom_site_fract_z
Tb1 Tb 0.000 0.000 0.250
Tb2 Tb 0.000 0.294 0.250
Dy1 Dy 0.000 0.500 0.000
Sb1 Sb 0.173 0.147 0.000
```

Main lines, in order of falling intensity (2θ = 10–90°):
(hkl)  two_theta  I_rel
1 3 2  32.57  1000
2 4 0  35.72  306
1 2 1  21.17  297
2 0 0  25.44  270
3 7 2  65.10  249
2 0 2  34.79  198